For CdCoGe2P, a crystal structure in Alexandria, relaxed with PBE gives the computed X-ray powder pattern in this record (CuKα).

Atomic structure:
Cell lengths 11.685, 3.766, 4.274 Å; angles 90.00, 111.38, 90.00 degrees
Positions (direct):
Cd  0.000  0.000  0.000
Cd  0.500  0.500  0.000
Co  0.341  0.500  0.353
Co  0.841  0.000  0.353
Ge  0.226  0.500  0.761
Ge  0.477  0.000  0.473
Ge  0.726  0.000  0.761
Ge  0.977  0.500  0.473
P  0.232  0.000  0.357
P  0.732  0.500  0.357

The 10 most intense peaks (2θ = 15–90°), by angle:
2θ (°)	intensity
16.29	19
25.02	29
31.66	68
32.37	32
32.93	33
35.81	38
42.29	32
46.33	100
48.33	29
66.13	17

For Pm3YCd3, a crystal structure in Alexandria, relaxed with PBE gives the computed X-ray powder pattern in this record (CuKα).

Atomic structure:
Cell lengths 7.647, 7.647, 7.182 Å; angles 90.00, 90.00, 90.90 degrees
Positions (direct):
Pm  0.234  0.234  0.000
Pm  0.240  0.240  0.500
Pm  0.246  0.754  0.000
Pm  0.754  0.246  0.000
Pm  0.760  0.760  0.500
Pm  0.766  0.766  0.000
Y  0.246  0.754  0.500
Y  0.754  0.246  0.500
Cd  0.000  0.500  0.254
Cd  0.000  0.500  0.746
Cd  0.500  0.000  0.254
Cd  0.500  0.000  0.746
Cd  0.500  0.500  0.249
Cd  0.500  0.500  0.751

The 10 most intense peaks (2θ = 15–90°), by angle:
2θ (°)	intensity
32.87	28
33.40	26
34.26	100
47.57	19
50.85	8
59.58	20
60.26	18
61.89	9
62.22	8
72.18	11